No. 1
Structure and theoretical powder XRD pattern of La4CeDy3Te8 (a cell relaxed with GGA-PBE; copper Kα).
Neutral-atom scattering factors, no anomalous dispersion.

Cell and atoms:
```
16
Lattice="4.4735 2.5827 7.3680 -4.4735 2.5827 7.3680 0.0000 -5.1655 7.3680" Properties=species:S:1:pos:R:3 pbc="T T T"
La 0.0000 0.0000 0.0000
La -2.2367 -1.2914 7.3680
La -2.2367 1.2914 14.7360
La 0.0000 2.5827 7.3680
Ce 0.0000 0.0000 11.0520
Dy -4.4734 0.0000 11.0520
Dy -2.2367 1.2914 3.6840
Dy 2.2367 1.2914 3.6840
Te -2.2700 -1.3106 12.7934
Te 0.0000 0.0000 5.4006
Te 0.0000 -2.6211 9.3107
Te -2.2700 1.3106 9.3107
Te 2.2700 -1.3106 12.7934
Te 0.0000 2.6211 12.7934
Te 0.0000 0.0000 16.7034
Te 2.2700 1.3106 9.3107
```

Main lines, low angle first (10 to 90 degrees two-theta):
2θ = 28.1°, d = 3.172 Å, rel. 100.0
2θ = 40.1°, d = 2.250 Å, rel. 37.8
2θ = 40.3°, d = 2.237 Å, rel. 38.1
2θ = 49.9°, d = 1.828 Å, rel. 20.4
2θ = 65.7°, d = 1.422 Å, rel. 16.8
2θ = 66.0°, d = 1.415 Å, rel. 17.5



No. 2
Structure and theoretical powder XRD pattern of Tb11In9Rh4 (a cell relaxed with GGA-PBE; copper Kα).
Neutral-atom scattering factors, no anomalous dispersion.

Cell and atoms:
```
24
Lattice="7.3086 -10.9312 0.0000 7.3086 10.9312 0.0000 0.0000 0.0000 3.7087" Properties=species:S:1:pos:R:3 pbc="T T T"
Tb 0.0000 0.0000 0.0000
Tb 3.6147 3.6944 0.0000
Tb 7.3086 7.3952 0.0000
Tb 4.5579 0.0000 0.0000
Tb 7.3086 2.7533 0.0000
Tb 3.6147 -3.6944 0.0000
Tb 11.0024 3.6944 0.0000
Tb 7.3086 -2.7533 0.0000
Tb 10.0593 0.0000 0.0000
Tb 7.3086 -7.3952 0.0000
Tb 11.0024 -3.6944 0.0000
In 2.1401 1.5549 1.8544
In 5.7753 5.1846 1.8544
In 2.1401 -1.5549 1.8544
In 8.8418 5.1846 1.8544
In 7.3086 0.0000 1.8544
In 5.7753 -5.1846 1.8544
In 12.4770 1.5549 1.8544
In 8.8418 -5.1846 1.8544
In 12.4770 -1.5549 1.8544
Rh 5.0838 2.2109 1.8544
Rh 5.0838 -2.2109 1.8544
Rh 9.5334 2.2109 1.8544
Rh 9.5334 -2.2109 1.8544
```

Main lines, low angle first (10 to 90 degrees two-theta):
2θ = 32.7°, d = 2.735 Å, rel. 13.2
2θ = 34.5°, d = 2.601 Å, rel. 100.0
2θ = 34.8°, d = 2.580 Å, rel. 39.4
2θ = 36.7°, d = 2.447 Å, rel. 17.6
2θ = 49.1°, d = 1.854 Å, rel. 15.6
2θ = 61.6°, d = 1.506 Å, rel. 14.8



No. 3
Structure and theoretical powder XRD pattern of Na5Ga2Au5 (a cell relaxed with GGA-PBE; copper Kα).
Neutral-atom scattering factors, no anomalous dispersion.

Cell and atoms:
```
12
Lattice="6.7051 -2.1504 0.0000 6.7051 2.1504 0.0000 -2.5474 0.0000 9.8397" Properties=species:S:1:pos:R:3 pbc="T T T"
Na 0.0000 0.0000 0.0000
Na 0.7119 0.0000 5.6135
Na 1.4072 0.0000 8.9621
Na 9.4556 0.0000 0.8776
Na 10.1508 0.0000 4.2262
Ga 3.9144 0.0000 7.0243
Ga 6.9484 0.0000 2.8153
Au 1.6814 0.0000 2.6123
Au 4.4779 0.0000 2.1225
Au 5.4314 0.0000 4.9198
Au 6.3849 0.0000 7.7172
Au 9.1813 0.0000 7.2273
```

Main lines, low angle first (10 to 90 degrees two-theta):
2θ = 18.0°, d = 4.920 Å, rel. 72.6
2θ = 21.8°, d = 4.083 Å, rel. 39.4
2θ = 22.9°, d = 3.881 Å, rel. 100.0
2θ = 36.5°, d = 2.463 Å, rel. 94.1
2θ = 40.8°, d = 2.211 Å, rel. 40.6
2θ = 42.0°, d = 2.150 Å, rel. 38.2



No. 4
Structure and theoretical powder XRD pattern of KCaNi (a cell relaxed with GGA-PBE; copper Kα).
Neutral-atom scattering factors, no anomalous dispersion.

Cell and atoms:
```
3
Lattice="4.1442 0.0000 0.0000 -2.0721 3.5890 0.0000 0.0000 0.0000 7.3673" Properties=species:S:1:pos:R:3 pbc="T T T"
K 0.0000 0.0000 0.0000
Ca 2.0721 1.1963 3.4982
Ni 0.0000 2.3927 2.1727
```

Main lines, low angle first (10 to 90 degrees two-theta):
2θ = 12.0°, d = 7.367 Å, rel. 68.2
2θ = 27.6°, d = 3.227 Å, rel. 100.0
2θ = 34.9°, d = 2.571 Å, rel. 58.8
2θ = 43.7°, d = 2.072 Å, rel. 32.6
2θ = 44.7°, d = 2.027 Å, rel. 27.5
2θ = 52.5°, d = 1.744 Å, rel. 14.7